This entry pairs a crystal structure of LiMgInMo3O12 with its calculated X-ray diffraction stick pattern. Radiation: Cu Kα (λ = 1.5418 Å). Structure: a cell relaxed with GGA+U.
Lines closer than 0.1° are merged.

Crystal structure
```
data_LiMgInMo3O12
_chemical_formula_sum 'Li2 Mg2 In2 Mo6 O24'
_space_group_name_H-M_alt 'P -1'
_space_group_IT_number 2
_cell_length_a 7.095
_cell_length_b 8.596
_cell_length_c 9.929
_cell_angle_alpha 96.33
_cell_angle_beta 106.39
_cell_angle_gamma 101.75
loop_
_space_group_symop_operation_xyz
'x,y,z'
'-x,-y,-z'
loop_
_atom_site_label
_atom_site_type_symbol
_atom_site_fract_x
_atom_site_fract_y
_atom_site_fract_z
Li1 Li 0.040 0.108 0.301
Mg1 Mg 0.462 0.305 0.507
In1 In 0.247 0.698 0.905
Mo1 Mo 0.019 0.300 0.620
Mo2 Mo 0.302 0.398 0.166
Mo3 Mo 0.494 0.007 0.248
O1 O 0.005 0.125 0.698
O2 O 0.057 0.267 0.147
O3 O 0.151 0.279 0.489
O4 O 0.152 0.477 0.759
O5 O 0.235 0.690 0.466
O6 O 0.253 0.563 0.082
O7 O 0.268 0.876 0.763
O8 O 0.336 0.903 0.075
O9 O 0.362 0.140 0.318
O10 O 0.440 0.296 0.074
O11 O 0.444 0.475 0.352
O12 O 0.455 0.135 0.640
```

Peak list (6 most intense, 2θ = 15–90°, in order of rising 2θ)
22.3°, d 3.993, intensity 40; 23.4°, d 3.798, intensity 100; 25.7°, d 3.470, intensity 62; 25.9°, d 3.446, intensity 43; 26.0°, d 3.421, intensity 99; 29.2°, d 3.057, intensity 38